Record 1
For Au4Br3Cl, the PBE geometry in OQMD gives the calculated powder X-ray diffraction pattern in this record (Cu Kα (weighted mean of Kα1 and Kα2)).
Lines closer than 0.1° are merged.

Most intense lines, 15° ≤ 2θ ≤ 90°, low angle first:
d 3.020, 29.57 deg, I = 100; d 2.498, 35.96 deg, I = 60; d 2.077, 43.59 deg, I = 44; d 1.955, 46.44 deg, I = 30; d 1.802, 50.65 deg, I = 37; d 1.555, 59.43 deg, I = 27

Structure:
a b c (Å): 6.219 6.227 12.567
angles (deg): 90.00 90.00 90.00
Fractional positions:
Au 0.000 0.247 0.000
Au 0.000 0.753 0.000
Au 0.250 0.000 0.502
Au 0.250 0.500 0.502
Au 0.500 0.253 0.000
Au 0.500 0.747 0.000
Au 0.750 0.000 0.502
Au 0.750 0.500 0.502
Br 0.000 0.000 0.348
Br 0.000 0.500 0.151
Br 0.000 0.500 0.656
Br 0.500 0.000 0.151
Br 0.500 0.000 0.656
Br 0.500 0.500 0.348
Cl 0.000 0.000 0.857
Cl 0.500 0.500 0.857


Record 2
For NbAlMo, the PBE geometry in OQMD gives the calculated powder X-ray diffraction pattern in this record (Cu Kα (weighted mean of Kα1 and Kα2)).
Lines closer than 0.1° are merged.

Most intense lines, 15° ≤ 2θ ≤ 90°, low angle first:
d 3.041, 29.37 deg, I = 77; d 2.150, 42.02 deg, I = 100; d 1.756, 52.09 deg, I = 20; d 1.520, 60.93 deg, I = 16; d 1.360, 69.07 deg, I = 25; d 1.241, 76.78 deg, I = 33

Structure:
a b c (Å): 6.082 6.082 6.082
angles (deg): 90.00 90.00 90.00
Fractional positions:
Nb 0.000 0.000 0.000
Nb 0.000 0.500 0.500
Nb 0.500 0.000 0.500
Nb 0.500 0.500 0.000
Al 0.250 0.250 0.750
Al 0.250 0.750 0.250
Al 0.750 0.250 0.250
Al 0.750 0.750 0.750
Mo 0.000 0.000 0.500
Mo 0.000 0.500 0.000
Mo 0.500 0.000 0.000
Mo 0.500 0.500 0.500


Record 3
For NdTmCN2O2, the PBE geometry in OQMD gives the calculated powder X-ray diffraction pattern in this record (Cu Kα (weighted mean of Kα1 and Kα2)).
Lines closer than 0.1° are merged.

Most intense lines, 15° ≤ 2θ ≤ 90°, low angle first:
d 3.028, 29.50 deg, I = 100; d 2.551, 35.17 deg, I = 43; d 2.095, 43.18 deg, I = 21; d 1.881, 48.39 deg, I = 28; d 1.736, 52.73 deg, I = 25; d 1.550, 59.66 deg, I = 20

Structure:
a b c (Å): 3.762 3.762 8.206
angles (deg): 90.00 90.00 120.00
Fractional positions:
Nd 0.000 0.000 0.000
Tm 0.667 0.333 0.643
C 0.333 0.667 0.327
N 0.333 0.667 0.176
N 0.333 0.667 0.477
O 0.000 0.000 0.708
O 0.667 0.333 0.913


Record 4
For Sc3CoB2, the PBE geometry in OQMD gives the calculated powder X-ray diffraction pattern in this record (Cu Kα (weighted mean of Kα1 and Kα2)).
Lines closer than 0.1° are merged.

Most intense lines, 15° ≤ 2θ ≤ 90°, low angle first:
d 2.760, 32.44 deg, I = 24; d 2.445, 36.76 deg, I = 100; d 2.301, 39.16 deg, I = 29; d 1.881, 48.39 deg, I = 27; d 1.608, 57.29 deg, I = 27; d 1.168, 82.57 deg, I = 13

Structure:
a b c (Å): 3.216 3.216 20.406
angles (deg): 90.00 90.00 120.00
Fractional positions:
Sc 0.000 0.000 0.000
Sc 0.000 0.000 0.500
Sc 0.333 0.667 0.156
Sc 0.333 0.667 0.344
Sc 0.667 0.333 0.656
Sc 0.667 0.333 0.844
Co 0.000 0.000 0.250
Co 0.000 0.000 0.750
B 0.333 0.667 0.580
B 0.333 0.667 0.920
B 0.667 0.333 0.080
B 0.667 0.333 0.420


Record 5
For Pr4Ga4O11, the PBE geometry in OQMD gives the calculated powder X-ray diffraction pattern in this record (Cu Kα (weighted mean of Kα1 and Kα2)).
Lines closer than 0.1° are merged.

Most intense lines, 15° ≤ 2θ ≤ 90°, low angle first:
d 2.793, 32.04 deg, I = 21; d 2.747, 32.59 deg, I = 24; d 2.733, 32.77 deg, I = 100; d 1.908, 47.67 deg, I = 13; d 1.601, 57.58 deg, I = 13; d 1.583, 58.27 deg, I = 22

Structure:
a b c (Å): 5.494 7.630 5.587
angles (deg): 90.00 90.16 90.00
Fractional positions:
Pr 0.000 0.000 0.000
Pr 0.011 0.500 0.089
Pr 0.492 0.500 0.591
Pr 0.514 0.000 0.495
Ga 0.004 0.251 0.544
Ga 0.004 0.749 0.544
Ga 0.509 0.264 0.045
Ga 0.509 0.736 0.045
O 0.086 0.000 0.562
O 0.216 0.295 0.830
O 0.216 0.705 0.830
O 0.290 0.295 0.332
O 0.290 0.705 0.332
O 0.428 0.000 0.062
O 0.719 0.211 0.755
O 0.719 0.789 0.755
O 0.795 0.209 0.255
O 0.795 0.791 0.255
O 0.920 0.500 0.525


Record 6
For ZnGa2Se3S, the PBE geometry in OQMD gives the calculated powder X-ray diffraction pattern in this record (Cu Kα (weighted mean of Kα1 and Kα2)).
Lines closer than 0.1° are merged.

Most intense lines, 15° ≤ 2θ ≤ 90°, low angle first:
d 3.204, 27.84 deg, I = 59; d 3.173, 28.12 deg, I = 100; d 3.163, 28.21 deg, I = 51; d 1.969, 46.09 deg, I = 26; d 1.947, 46.64 deg, I = 72; d 1.665, 55.15 deg, I = 23

Structure:
a b c (Å): 5.537 5.545 6.681
angles (deg): 114.49 113.75 90.62
Fractional positions:
Zn 0.000 0.000 0.000
Ga 0.512 0.512 0.001
Ga 0.755 0.267 0.510
Se 0.140 0.113 0.732
Se 0.378 0.874 0.273
Se 0.906 0.414 0.273
S 0.622 0.630 0.747


Record 7
For Sm2Ho2CI3Br2, the PBE geometry in OQMD gives the calculated powder X-ray diffraction pattern in this record (Cu Kα (weighted mean of Kα1 and Kα2)).
Lines closer than 0.1° are merged.

Most intense lines, 15° ≤ 2θ ≤ 90°, low angle first:
d 2.987, 29.92 deg, I = 39; d 2.962, 30.17 deg, I = 29; d 2.935, 30.45 deg, I = 100; d 2.660, 33.70 deg, I = 30; d 2.109, 42.89 deg, I = 23; d 2.079, 43.54 deg, I = 25

Structure:
a b c (Å): 9.391 9.391 8.738
angles (deg): 102.26 102.26 24.37
Fractional positions:
Sm 0.002 0.002 0.307
Sm 0.998 0.998 0.693
Ho 0.367 0.367 0.437
Ho 0.633 0.633 0.563
C 0.500 0.500 0.500
I 0.171 0.171 0.832
I 0.500 0.500 0.000
I 0.829 0.829 0.168
Br 0.170 0.170 0.351
Br 0.830 0.830 0.649


Record 8
For Nd3TeP2, the PBE geometry in OQMD gives the calculated powder X-ray diffraction pattern in this record (Cu Kα (weighted mean of Kα1 and Kα2)).
Lines closer than 0.1° are merged.

Most intense lines, 15° ≤ 2θ ≤ 90°, low angle first:
d 3.470, 25.67 deg, I = 28; d 3.025, 29.53 deg, I = 100; d 2.160, 41.81 deg, I = 27; d 2.118, 42.69 deg, I = 35; d 1.735, 52.76 deg, I = 19; d 1.342, 70.11 deg, I = 16

Structure:
a b c (Å): 4.236 4.236 10.692
angles (deg): 90.00 90.00 120.00
Fractional positions:
Nd 0.000 0.000 0.000
Nd 0.333 0.667 0.301
Nd 0.667 0.333 0.699
Te 0.000 0.000 0.500
P 0.333 0.667 0.842
P 0.667 0.333 0.158


Record 9
For Nd2SmAl7Ag2, the PBE geometry in OQMD gives the calculated powder X-ray diffraction pattern in this record (Cu Kα (weighted mean of Kα1 and Kα2)).
Lines closer than 0.1° are merged.

Most intense lines, 15° ≤ 2θ ≤ 90°, low angle first:
d 4.448, 19.96 deg, I = 35; d 3.005, 29.73 deg, I = 25; d 2.819, 31.74 deg, I = 84; d 2.381, 37.78 deg, I = 100; d 1.528, 60.58 deg, I = 25; d 1.504, 61.67 deg, I = 25

Structure:
a b c (Å): 9.473 9.473 9.473
angles (deg): 34.62 34.62 34.62
Fractional positions:
Nd 0.142 0.142 0.142
Nd 0.858 0.858 0.858
Sm 0.000 0.000 0.000
Al 0.075 0.586 0.586
Al 0.414 0.414 0.925
Al 0.414 0.925 0.414
Al 0.500 0.500 0.500
Al 0.586 0.075 0.586
Al 0.586 0.586 0.075
Al 0.925 0.414 0.414
Ag 0.336 0.336 0.336
Ag 0.664 0.664 0.664


Record 10
For TbYTlCo2, the PBE geometry in OQMD gives the calculated powder X-ray diffraction pattern in this record (Cu Kα (weighted mean of Kα1 and Kα2)).
Lines closer than 0.1° are merged.

Most intense lines, 15° ≤ 2θ ≤ 90°, low angle first:
d 2.977, 30.02 deg, I = 47; d 2.658, 33.72 deg, I = 100; d 2.597, 34.54 deg, I = 73; d 2.279, 39.55 deg, I = 34; d 1.917, 47.41 deg, I = 20; d 1.542, 59.97 deg, I = 29

Structure:
a b c (Å): 3.819 3.835 14.166
angles (deg): 90.00 90.00 90.00
Fractional positions:
Tb 0.000 0.000 0.000
Tb 0.000 0.500 0.500
Y 0.000 0.000 0.279
Y 0.000 0.500 0.779
Tl 0.500 0.000 0.640
Tl 0.500 0.500 0.140
Co 0.500 0.000 0.433
Co 0.500 0.000 0.848
Co 0.500 0.500 0.348
Co 0.500 0.500 0.933


Record 11
For Pr3InAgHg2Pd2, the PBE geometry in OQMD gives the calculated powder X-ray diffraction pattern in this record (Cu Kα (weighted mean of Kα1 and Kα2)).
Lines closer than 0.1° are merged.

Most intense lines, 15° ≤ 2θ ≤ 90°, low angle first:
d 2.816, 31.77 deg, I = 100; d 2.807, 31.88 deg, I = 71; d 2.610, 34.37 deg, I = 67; d 2.600, 34.49 deg, I = 93; d 2.595, 34.57 deg, I = 40; d 2.282, 39.49 deg, I = 46

Structure:
a b c (Å): 3.997 7.939 7.939
angles (deg): 120.44 90.00 90.00
Fractional positions:
Pr 0.000 0.000 0.000
Pr 0.000 0.185 0.601
Pr 0.000 0.601 0.185
In 0.500 0.336 0.336
Ag 0.000 0.591 0.591
Hg 0.500 0.593 0.861
Hg 0.500 0.861 0.593
Pd 0.500 0.264 0.940
Pd 0.500 0.940 0.264


Record 12
For HoSbN2O, the PBE geometry in OQMD gives the calculated powder X-ray diffraction pattern in this record (Cu Kα (weighted mean of Kα1 and Kα2)).
Lines closer than 0.1° are merged.

Most intense lines, 15° ≤ 2θ ≤ 90°, low angle first:
d 2.835, 31.56 deg, I = 100; d 2.807, 31.88 deg, I = 25; d 2.771, 32.31 deg, I = 19; d 1.972, 46.02 deg, I = 21; d 1.626, 56.61 deg, I = 19; d 1.612, 57.15 deg, I = 18

Structure:
a b c (Å): 5.673 5.673 5.673
angles (deg): 88.10 121.52 120.68
Fractional positions:
Ho 0.033 0.250 0.283
Ho 0.967 0.750 0.717
Sb 0.505 0.005 0.500
Sb 0.505 0.505 0.000
N 0.006 0.182 0.680
N 0.006 0.826 0.323
N 0.502 0.326 0.320
N 0.502 0.682 0.677
O 0.395 0.766 0.129
O 0.638 0.266 0.871